This entry pairs a crystal structure of Y3Cu4Ge4 with its theoretical powder diffraction line list. Radiation: Cu Kα X-rays. Structure: DFT lattice parameters and positions (PBE).
Lines closer than 0.1° are merged.

Atomic structure:
```
Y3Cu4Ge4
1.0
-2.112 3.333 6.987
2.112 -3.333 6.987
2.112 3.333 -6.987
Y Cu Ge
3 4 4
direct
0.000 0.000 0.000 Y
0.371 0.871 0.500 Y
0.629 0.129 0.500 Y
0.021 0.331 0.690 Cu
0.359 0.669 0.690 Cu
0.641 0.331 0.310 Cu
0.979 0.669 0.310 Cu
0.216 0.216 0.000 Ge
0.309 0.500 0.809 Ge
0.691 0.500 0.191 Ge
0.784 0.784 0.000 Ge
```

Principal peaks in the range 2θ = 10–80°, in order of rising 2θ:
Position (°2θ)	intensity
34.87	1000
35.98	766
38.65	234
39.50	137
42.81	381
45.21	246
47.60	260
48.06	139
56.31	102
64.02	165